No. 1
Starting from a DFT-relaxed cell (PBE, Alexandria), the powder diffractogram of Tb6Er3Tm was computed for copper Kα.
No peak broadening, texture or thermal motion is included.

Cell and atoms:
abc: 10.926 18.888 6.150
angles: 90.00 90.00 90.00
Space group Cmc2_1 (No. 36)
One atom of each set of equivalent atoms:
Tb 0.000 0.046 0.000 x4
Tb 0.000 0.280 0.726 x4
Tb 0.165 0.454 0.617 x8
Tb 0.242 0.290 0.437 x8
Er 0.000 0.389 0.151 x4
Er 0.168 0.110 0.539 x8
Tm 0.000 0.205 0.218 x4

Top 6 peaks for 2θ from 10° to 90°, by intensity:
d = 2.804 Å, intensity 100
d = 3.090 Å, intensity 56
d = 2.578 Å, intensity 31
d = 2.623 Å, intensity 23
d = 2.924 Å, intensity 21
d = 3.151 Å, intensity 16

No. 2
Starting from a DFT-relaxed cell (PBE, Alexandria), the powder diffractogram of SrHg7 was computed for copper Kα.
No peak broadening, texture or thermal motion is included.

Cell and atoms:
abc: 5.025 5.025 17.414
angles: 90.00 90.00 90.00
Space group I4/mmm (No. 139)
One atom of each set of equivalent atoms:
Sr 0.000 0.000 0.000 x2
Hg 0.000 0.000 0.249 x4
Hg 0.000 0.000 0.500 x2
Hg 0.000 0.500 0.133 x8

Top 6 peaks for 2θ from 10° to 90°, by intensity:
d = 2.753 Å, intensity 100
d = 2.513 Å, intensity 40
d = 1.493 Å, intensity 32
d = 1.645 Å, intensity 21
d = 1.777 Å, intensity 14
d = 2.177 Å, intensity 12

No. 3
Starting from a DFT-relaxed cell (PBE, Alexandria), the powder diffractogram of ErHICl was computed for copper Kα.
No peak broadening, texture or thermal motion is included.

Cell and atoms:
abc: 6.660 3.846 8.061
angles: 90.00 106.07 90.00
Space group Cm (No. 8)
One atom of each set of equivalent atoms:
Er 0.000 0.000 0.000 x2
H 0.164 0.500 0.993 x2
I 0.240 0.000 0.722 x2
Cl 0.406 0.000 0.217 x2

Top 6 peaks for 2θ from 10° to 90°, by intensity:
d = 7.746 Å, intensity 100
d = 2.889 Å, intensity 67
d = 2.707 Å, intensity 58
d = 3.297 Å, intensity 55
d = 2.189 Å, intensity 34
d = 1.923 Å, intensity 31